Simulated X-ray diffraction stick pattern
Compound: Sn4Rh
Radiation: copper Kα
Structure: the PBE geometry in the Materials Project

Structure:
Cell: 6.403 6.403 23.417 Å, 90.00 90.00 90.00°
Space group I4_1/acd (No. 142, origin choice 2)
Symmetry-distinct sites (fractional):
Sn (0.176, 0.073, 0.438)
Rh (0.000, 0.250, 0.125)

Largest 10 diffraction maxima, low angle first, 2θ from 15° to 90°:
(hkl), 2θ/deg, d/Å, intensity
2 0 0, 27.87, 3.201, 257
1 1 6, 30.23, 2.956, 384
0 0 8, 30.54, 2.927, 428
2 1 3, 33.33, 2.688, 1000
2 1 5, 36.79, 2.443, 743
2 0 8, 41.82, 2.160, 810
3 1 2, 45.46, 1.995, 524
2 1 11, 53.65, 1.708, 276
4 1 3, 60.79, 1.524, 438
3 3 6, 66.41, 1.408, 299



Simulated X-ray diffraction stick pattern
Compound: Sn3Rh
Radiation: copper Kα
Structure: the PBE geometry in the Materials Project

Structure:
Cell: 7.083 7.083 7.083 Å, 90.00 90.00 90.00°
Space group Fm-3m (No. 225)
Symmetry-distinct sites (fractional):
Sn (0.000, 0.000, 0.000)
Sn (0.250, 0.250, 0.250)
Rh (0.000, 0.000, 0.500)

Largest 5 diffraction maxima, low angle first, 2θ from 15° to 90°:
(hkl), 2θ/deg, d/Å, intensity
2 2 0, 35.86, 2.504, 1000
4 0 0, 51.62, 1.771, 179
4 2 2, 64.45, 1.446, 374
4 4 0, 76.01, 1.252, 119
6 2 0, 87.00, 1.120, 176



Simulated X-ray diffraction stick pattern
Compound: Sn4Rh
Radiation: copper Kα
Structure: the PBE geometry in the Materials Project

Structure:
Cell: 6.8657 6.8657 8.7974 Å, 90.00 90.00 120.00°
Space group P3_121 (No. 152)
Symmetry-distinct sites (fractional):
Sn (0.0000, 0.0922, 0.1667)
Sn (0.0000, 0.6299, 0.1667)
Sn (0.2363, 0.4990, 0.9304)
Rh (0.0000, 0.3099, 0.6667)

Largest 10 diffraction maxima, low angle first, 2θ from 15° to 90°:
(hkl), 2θ/deg, d/Å, intensity
1 0 2, 25.18, 3.536, 257
1 1 1, 27.90, 3.198, 234
2 0 1, 31.77, 2.816, 1000
1 1 2, 33.10, 2.706, 669
0 1 3, 34.09, 2.630, 513
0 2 2, 36.48, 2.463, 535
1 1 3, 40.46, 2.230, 343
2 1 1, 41.47, 2.177, 876
1 0 4, 43.89, 2.063, 338
1 2 4, 58.74, 1.572, 210



Simulated X-ray diffraction stick pattern
Compound: Sr3Sn13Rh4
Radiation: copper Kα
Structure: the PBE geometry in the Materials Project

Structure:
Cell: 9.943 9.943 9.943 Å, 90.00 90.00 90.00°
Space group Pm-3n (No. 223)
Symmetry-distinct sites (fractional):
Sr (0.000, 0.250, 0.500)
Sn (0.000, 0.000, 0.000)
Sn (0.000, 0.299, 0.153)
Rh (0.250, 0.250, 0.250)

Largest 10 diffraction maxima, low angle first, 2θ from 15° to 90°:
(hkl), 2θ/deg, d/Å, intensity
3 2 0, 32.47, 2.758, 1000
3 2 1, 33.73, 2.657, 349
4 0 0, 36.13, 2.486, 229
4 1 0, 37.29, 2.412, 173
4 2 0, 40.58, 2.223, 129
4 2 2, 44.65, 2.030, 307
4 3 3, 53.76, 1.705, 162
5 3 2, 57.10, 1.613, 184
6 2 2, 61.90, 1.499, 109
6 3 2, 65.74, 1.420, 120



Simulated X-ray diffraction stick pattern
Compound: TbSnRh
Radiation: copper Kα
Structure: the PBE geometry in the Materials Project

Structure:
Cell: 7.6117 7.6117 3.8515 Å, 90.00 90.00 120.00°
Space group P-62m (No. 189)
Symmetry-distinct sites (fractional):
Tb (0.0000, 0.5933, 0.0000)
Sn (0.0000, 0.2606, 0.5000)
Rh (0.0000, 0.0000, 0.0000)
Rh (0.3333, 0.6667, 0.5000)

Largest 10 diffraction maxima, low angle first, 2θ from 15° to 90°:
(hkl), 2θ/deg, d/Å, intensity
1 1 1, 33.09, 2.707, 1000
2 0 1, 35.86, 2.504, 828
2 1 0, 36.05, 2.492, 465
3 0 0, 41.08, 2.197, 377
2 1 1, 43.25, 2.092, 200
0 0 2, 47.20, 1.926, 228
3 1 1, 55.65, 1.652, 156
2 1 2, 60.79, 1.524, 209
3 0 2, 64.32, 1.448, 200
3 2 1, 66.41, 1.408, 316



Simulated X-ray diffraction stick pattern
Compound: TbSnRh2
Radiation: copper Kα
Structure: the PBE geometry in the Materials Project

Structure:
Cell: 6.677 6.677 6.677 Å, 90.00 90.00 90.00°
Space group Fm-3m (No. 225)
Symmetry-distinct sites (fractional):
Tb (0.000, 0.000, 0.000)
Sn (0.000, 0.000, 0.500)
Rh (0.250, 0.250, 0.250)

Largest 10 diffraction maxima, low angle first, 2θ from 15° to 90°:
(hkl), 2θ/deg, d/Å, intensity
1 1 1, 23.07, 3.855, 14
2 0 0, 26.70, 3.338, 22
2 2 0, 38.12, 2.361, 1000
3 1 1, 45.03, 2.013, 6
2 2 2, 47.15, 1.927, 8
4 0 0, 55.01, 1.669, 173
4 2 0, 62.18, 1.493, 11
4 2 2, 68.89, 1.363, 351
4 4 0, 81.56, 1.180, 112
6 0 0, 87.70, 1.113, 7



Simulated X-ray diffraction stick pattern
Compound: Tb2Sn5Rh3
Radiation: copper Kα
Structure: the PBE geometry in the Materials Project

Structure:
Cell: 4.466 26.517 7.242 Å, 90.00 90.00 90.00°
Space group Cmc2_1 (No. 36)
Symmetry-distinct sites (fractional):
Tb (0.000, 0.024, 0.000)
Tb (0.000, 0.328, 0.021)
Sn (0.000, 0.097, 0.375)
Sn (0.000, 0.205, 0.816)
Sn (0.000, 0.210, 0.242)
Sn (0.000, 0.380, 0.500)
Sn (0.000, 0.452, 0.167)
Rh (0.000, 0.106, 0.747)
Rh (0.000, 0.277, 0.531)
Rh (0.000, 0.450, 0.784)

Largest 10 diffraction maxima, low angle first, 2θ from 15° to 90°:
(hkl), 2θ/deg, d/Å, intensity
0 6 2, 31.97, 2.799, 113
1 3 2, 33.42, 2.681, 1000
0 10 1, 36.07, 2.490, 148
1 9 0, 36.54, 2.459, 133
0 4 3, 39.74, 2.268, 107
2 0 0, 40.40, 2.233, 266
1 9 2, 44.53, 2.035, 96
2 10 1, 55.26, 1.662, 86
1 17 0, 63.18, 1.472, 180
3 3 2, 69.02, 1.361, 146



Simulated X-ray diffraction stick pattern
Compound: TiSnRh
Radiation: copper Kα
Structure: the PBE geometry in the Materials Project

Structure:
Cell: 6.224 6.224 6.224 Å, 90.00 90.00 90.00°
Space group F-43m (No. 216)
Symmetry-distinct sites (fractional):
Ti (0.000, 0.000, 0.000)
Sn (0.250, 0.250, 0.250)
Rh (0.250, 0.250, 0.750)

Largest 10 diffraction maxima, low angle first, 2θ from 15° to 90°:
(hkl), 2θ/deg, d/Å, intensity
1 1 1, 24.77, 3.594, 87
2 0 0, 28.68, 3.112, 559
2 2 0, 41.01, 2.201, 1000
3 1 1, 48.51, 1.877, 39
2 2 2, 50.81, 1.797, 159
4 0 0, 59.39, 1.556, 166
3 3 1, 65.35, 1.428, 16
4 2 0, 67.27, 1.392, 213
4 2 2, 74.71, 1.271, 338
4 4 0, 88.95, 1.100, 112